No. 1
For Dy3Sc2Zn2, DFT lattice parameters and positions (PBE) gives the theoretical powder XRD pattern in this record (Cu Ka).
Intensities are scaled so that the largest is 100.

Structure:
Lattice parameters (Å, degrees): 8.037 8.037 8.037 37.00 37.00 37.00
Fractional coordinates of all 7 atoms:
1 Dy 0.000 0.000 0.000
2 Dy 0.157 0.157 0.157
3 Dy 0.843 0.843 0.843
4 Sc 0.422 0.422 0.422
5 Sc 0.578 0.578 0.578
6 Zn 0.288 0.288 0.288
7 Zn 0.712 0.712 0.712

Peak list (10 most intense, 10° ≤ 2θ ≤ 90°, low angle first)
2θ = 20.49°, d 4.333, rel. 36.9; 2θ = 23.80°, d 3.739, rel. 21.8; 2θ = 34.58°, d 2.594, rel. 86.9; 2θ = 35.19°, d 2.550, rel. 100.0; 2θ = 42.93°, d 2.107, rel. 28.7; 2θ = 50.17°, d 1.818, rel. 29.8; 2θ = 61.53°, d 1.507, rel. 17.7; 2θ = 62.76°, d 1.481, rel. 29.8; 2θ = 63.15°, d 1.472, rel. 17.7; 2θ = 84.71°, d 1.144, rel. 12.8

=====

No. 2
For Tm2CrPd9, DFT lattice parameters and positions (PBE) gives the theoretical powder XRD pattern in this record (Cu Ka).
Intensities are scaled so that the largest is 100.

Structure:
Lattice parameters (Å, degrees): 4.039 4.039 12.067 90.00 90.00 90.00
Fractional coordinates of all 12 atoms:
1 Tm 0.000 0.000 0.171
2 Tm 0.000 0.000 0.829
3 Cr 0.000 0.000 0.500
4 Pd 0.000 0.500 0.000
5 Pd 0.000 0.500 0.345
6 Pd 0.000 0.500 0.655
7 Pd 0.500 0.000 0.000
8 Pd 0.500 0.000 0.345
9 Pd 0.500 0.000 0.655
10 Pd 0.500 0.500 0.172
11 Pd 0.500 0.500 0.500
12 Pd 0.500 0.500 0.828

Peak list (10 most intense, 10° ≤ 2θ ≤ 90°, low angle first)
2θ = 23.23°, d 3.830, rel. 2.5; 2θ = 34.76°, d 2.581, rel. 2.9; 2θ = 38.67°, d 2.329, rel. 100.0; 2θ = 44.89°, d 2.019, rel. 33.2; 2θ = 45.08°, d 2.011, rel. 15.2; 2θ = 65.36°, d 1.428, rel. 10.6; 2θ = 65.50°, d 1.425, rel. 19.6; 2θ = 78.60°, d 1.217, rel. 24.4; 2θ = 78.87°, d 1.214, rel. 10.4; 2θ = 82.93°, d 1.164, rel. 10.1